# 1
Calculated X-ray powder pattern of Np3Sn for Cu Kα X-rays, from a crystal structure in Alexandria, relaxed with PBE.
Kinematic intensities with the Lorentz-polarization factor, no thermal factor.

Atomic structure:
```
data_Np3Sn
_cell_length_a 5.6825
_cell_length_b 5.6825
_cell_length_c 5.6825
_cell_angle_alpha 133.09
_cell_angle_beta 133.09
_cell_angle_gamma 68.51
_space_group_name_H-M_alt 'P 1'
_space_group_IT_number 1
loop_
_space_group_symop_operation_xyz
'x,y,z'
loop_
_atom_site_label
_atom_site_type_symbol
_atom_site_fract_x
_atom_site_fract_y
_atom_site_fract_z
Np1 Np 0.0000 0.0000 0.0000
Np2 Np 0.2500 0.7500 0.5000
Np3 Np 0.7500 0.2500 0.5000
Sn1 Sn 0.5000 0.5000 0.0000
```

Main lines, in order of rising 2θ (10° ≤ 2θ ≤ 80°):
- 2θ = 33.9°, intensity 100
- 2θ = 38.3°, intensity 18
- 2θ = 39.9°, intensity 32
- 2θ = 56.5°, intensity 24
- 2θ = 66.5°, intensity 15
- 2θ = 68.6°, intensity 27

***

# 2
Calculated X-ray powder pattern of Ce5CdGe3 for Cu Kα X-rays, from a crystal structure in Alexandria, relaxed with PBE.
Kinematic intensities with the Lorentz-polarization factor, no thermal factor.

Atomic structure:
```
data_Ce5CdGe3
_cell_length_a 9.0848
_cell_length_b 9.0848
_cell_length_c 6.2740
_cell_angle_alpha 90.00
_cell_angle_beta 90.00
_cell_angle_gamma 120.00
_space_group_name_H-M_alt 'P 1'
_space_group_IT_number 1
loop_
_space_group_symop_operation_xyz
'x,y,z'
loop_
_atom_site_label
_atom_site_type_symbol
_atom_site_fract_x
_atom_site_fract_y
_atom_site_fract_z
Ce1 Ce 0.0000 0.3093 0.2500
Ce2 Ce 0.0000 0.6907 0.7500
Ce3 Ce 0.3093 0.0000 0.2500
Ce4 Ce 0.3093 0.3093 0.7500
Ce5 Ce 0.3333 0.6667 0.0000
Ce6 Ce 0.3333 0.6667 0.5000
Ce7 Ce 0.6667 0.3333 0.0000
Ce8 Ce 0.6667 0.3333 0.5000
Ce9 Ce 0.6907 0.0000 0.7500
Ce10 Ce 0.6907 0.6907 0.2500
Cd1 Cd 0.0000 0.0000 0.0000
Cd2 Cd 0.0000 0.0000 0.5000
Ge1 Ge 0.0000 0.3563 0.7500
Ge2 Ge 0.0000 0.6437 0.2500
Ge3 Ge 0.3563 0.0000 0.7500
Ge4 Ge 0.3563 0.3563 0.2500
Ge5 Ge 0.6437 0.0000 0.2500
Ge6 Ge 0.6437 0.6437 0.7500
```

Main lines, in order of rising 2θ (10° ≤ 2θ ≤ 80°):
- 2θ = 34.2°, intensity 100
- 2θ = 34.8°, intensity 97
- 2θ = 49.5°, intensity 33
- 2θ = 61.2°, intensity 15
- 2θ = 61.6°, intensity 32
- 2θ = 69.9°, intensity 24

***

# 3
Calculated X-ray powder pattern of MnMo for Cu Kα X-rays, from a crystal structure in Alexandria, relaxed with PBE.
Kinematic intensities with the Lorentz-polarization factor, no thermal factor.

Atomic structure:
```
data_MnMo
_cell_length_a 4.2686
_cell_length_b 4.2686
_cell_length_c 4.2686
_cell_angle_alpha 60.00
_cell_angle_beta 60.00
_cell_angle_gamma 60.00
_space_group_name_H-M_alt 'P 1'
_space_group_IT_number 1
loop_
_space_group_symop_operation_xyz
'x,y,z'
loop_
_atom_site_label
_atom_site_type_symbol
_atom_site_fract_x
_atom_site_fract_y
_atom_site_fract_z
Mn1 Mn 0.1250 0.1250 0.1250
Mn2 Mn 0.8750 0.8750 0.8750
Mo1 Mo 0.3750 0.3750 0.3750
Mo2 Mo 0.6250 0.6250 0.6250
```

Main lines, in order of rising 2θ (10° ≤ 2θ ≤ 80°):
- 2θ = 25.6°, intensity 10
- 2θ = 42.3°, intensity 100
- 2θ = 50.1°, intensity 5
- 2θ = 61.4°, intensity 16
- 2θ = 67.6°, intensity 2
- 2θ = 77.5°, intensity 31